Record 1
Simulated PXRD pattern
Compound: Zr4CoSiN2
Radiation: copper Kα
Structure: a PBE-relaxed structure

Largest 10 diffraction maxima, by angle, 10 to 80 degrees two-theta:
2θ/deg, d [Å], intensity
31.91, 2.805, 23
32.63, 2.745, 13
37.93, 2.372, 100
40.59, 2.223, 12
42.10, 2.146, 10
52.53, 1.742, 13
56.86, 1.619, 23
58.58, 1.576, 9
70.40, 1.337, 15
72.14, 1.309, 20

Structural model:
```
Zr4CoSiN2
1.0
3.2385 0.0000 0.0000
-1.6193 2.8047 0.0000
0.0000 0.0000 13.3366
Zr Co Si N
4 1 1 2
Cartesian
0.0000 0.0000 1.9230
0.0000 0.0000 11.4135
1.6193 0.9349 4.5697
1.6193 0.9349 8.7668
1.6193 0.9349 0.0000
0.0000 0.0000 6.6683
0.0000 1.8698 3.2559
0.0000 1.8698 10.0807
```

---

Record 2
Simulated PXRD pattern
Compound: SrCo2N2
Radiation: copper Kα
Structure: a PBE-relaxed structure

Largest 10 diffraction maxima, by angle, 10 to 80 degrees two-theta:
2θ/deg, d [Å], intensity
21.79, 4.079, 12
30.30, 2.950, 100
34.99, 2.564, 29
37.04, 2.427, 31
44.42, 2.039, 21
47.44, 1.916, 13
47.60, 1.910, 33
65.96, 1.416, 21
67.14, 1.394, 22
69.99, 1.344, 12

Structural model:
```
SrCo2N2
1.0
-3.0203 3.0203 4.0787
3.0203 -3.0203 4.0787
3.0203 3.0203 -4.0787
Sr Co N
2 4 4
Cartesian
0.0000 0.0000 2.0393
0.0000 0.0000 6.1180
3.8192 0.7990 0.0000
0.7990 2.2213 0.0000
2.2213 0.7990 4.0787
-0.7990 2.2213 4.0787
2.0280 0.9923 0.0000
2.0280 -0.9923 4.0787
0.9923 4.0126 0.0000
0.9923 2.0280 4.0787
```

---

Record 3
Simulated PXRD pattern
Compound: Ta4Co3W2N3
Radiation: copper Kα
Structure: a PBE-relaxed structure

Largest 10 diffraction maxima, by angle, 10 to 80 degrees two-theta:
2θ/deg, d [Å], intensity
25.99, 3.429, 41
35.23, 2.548, 44
35.66, 2.517, 54
35.85, 2.505, 100
40.37, 2.234, 63
40.50, 2.227, 80
40.60, 2.222, 69
42.53, 2.125, 37
46.73, 1.944, 34
62.97, 1.476, 39

Structural model:
```
Ta4Co3W2N3
1.0
4.4053 -2.5610 0.0000
4.4053 2.5610 0.0000
-2.9897 0.0000 13.7150
Ta Co W N
8 6 4 6
Cartesian
0.7174 0.4821 1.2568
0.7672 0.4123 5.6044
-0.7774 -0.4821 8.1143
-0.7276 -0.4123 12.4619
6.5486 0.4123 1.2531
6.5984 0.4821 5.6007
5.0538 -0.4123 8.1106
5.1036 -0.4821 12.4582
2.1631 2.1791 10.2863
-0.0053 0.8261 10.2657
1.4895 -0.8261 3.4082
4.3315 0.8261 10.3069
5.8264 -0.8261 3.4494
3.6579 -2.1791 3.4288
3.6624 0.4360 2.2304
3.6534 0.4360 4.6271
2.1676 -0.4360 9.0879
2.1586 -0.4360 11.4846
2.2027 1.2805 0.0000
2.1657 1.3076 6.8559
5.1502 1.3076 0.0016
0.7078 -1.2805 6.8575
0.6709 -1.3076 13.7134
3.6553 -1.3076 6.8591
```

---

Record 4
Simulated PXRD pattern
Compound: NaNdCoSe3
Radiation: copper Kα
Structure: a PBE-relaxed structure

Largest 10 diffraction maxima, by angle, 10 to 80 degrees two-theta:
2θ/deg, d [Å], intensity
10.66, 8.296, 47
14.75, 6.004, 92
24.01, 3.706, 51
27.29, 3.268, 71
32.07, 2.791, 100
34.66, 2.588, 67
35.26, 2.545, 87
37.83, 2.378, 83
43.70, 2.071, 62
50.89, 1.794, 38

Structural model:
```
NaNdCoSe3
1.0
11.4742 0.0000 0.0000
0.0000 4.1424 0.0000
0.0000 0.0000 12.0087
Na Nd Co Se
4 4 4 12
Cartesian
1.9911 1.0356 0.0346
3.7460 3.1068 6.0389
7.7282 1.0356 5.9697
9.4831 3.1068 11.9741
0.2216 1.0356 8.1803
5.5155 3.1068 2.1760
5.9587 1.0356 9.8327
11.2526 3.1068 3.8284
2.8579 3.1068 9.5033
2.8792 1.0356 3.4990
8.5950 3.1068 8.5097
8.6163 1.0356 2.5054
0.6052 3.1068 10.2596
1.3349 1.0356 5.3013
2.4926 3.1068 2.3178
3.2445 1.0356 8.3222
4.4022 3.1068 11.3057
5.1319 1.0356 4.2553
6.3423 3.1068 7.7534
7.0720 1.0356 0.7030
8.2297 3.1068 3.6865
8.9816 1.0356 9.6909
10.1393 3.1068 6.7074
10.8690 1.0356 1.7491
```